Theoretical powder X-ray diffraction pattern of AgSeS5 for Cu Kα (λ = 1.5418 Å), from a structure optimized by DFT (PBE).
Lines closer than 0.1° are merged.

Main lines, sorted by position (2θ from 10° to 80°):
| two_theta | I/Imax |
| --- | --- |
| 17.28 | 69 |
| 18.43 | 21 |
| 19.61 | 100 |
| 25.33 | 40 |
| 26.84 | 31 |
| 27.16 | 19 |
| 27.79 | 23 |
| 31.48 | 18 |
| 32.86 | 60 |
| 33.36 | 20 |
| 39.59 | 23 |
| 44.15 | 20 |

Structural model:
```
AgSeS5
1.0
6.3418 0.0000 0.0000
-1.1759 7.1191 0.0000
-2.4852 -3.4042 9.6431
Ag Se S
2 2 10
Direct
0.0000 0.0000 0.0000
0.5000 0.5000 0.0000
0.0802 0.2960 0.9118
0.9198 0.7040 0.0882
0.0814 0.1296 0.6940
0.3202 0.5220 0.6322
0.3719 0.0285 0.1539
0.3747 0.2702 0.6788
0.3780 0.7423 0.8249
0.6220 0.2577 0.1751
0.6253 0.7298 0.3212
0.6281 0.9715 0.8461
0.6798 0.4780 0.3678
0.9186 0.8704 0.3060
```